Entry 1:
Structure and simulated XRD peak list of AgPd2Ru2 (a cell relaxed with GGA-PBE; copper Kα).
Lines closer than 0.1° are merged.

Most intense lines, 2θ = 5–70°, most intense first:
two_theta, I/Imax
42.05, 100.0
36.89, 70.6
40.31, 66.8
42.30, 34.7
32.88, 32.3
48.73, 26.1
61.17, 13.8
68.25, 10.8
59.85, 10.4
54.39, 9.5

abc: 7.705 7.705 2.748
angles: 90.00 90.00 90.00
Positions (direct):
1 Ag 0.000 0.000 0.000
2 Ag 0.500 0.500 0.000
3 Pd 0.185 0.315 0.500
4 Pd 0.315 0.815 0.500
5 Pd 0.685 0.185 0.500
6 Pd 0.815 0.685 0.500
7 Ru 0.110 0.610 0.000
8 Ru 0.390 0.110 0.000
9 Ru 0.610 0.890 0.000
10 Ru 0.890 0.390 0.000

=====

Entry 2:
Structure and simulated XRD peak list of Ac5PrNi4 (a cell relaxed with GGA-PBE; copper Kα).
Lines closer than 0.1° are merged.

Most intense lines, 2θ = 5–70°, most intense first:
two_theta, I/Imax
31.02, 100.0
25.81, 81.9
29.18, 54.2
39.43, 44.1
29.30, 41.4
53.08, 37.4
46.55, 32.7
52.10, 24.8
23.88, 23.7
43.28, 23.3

abc: 9.415 9.415 8.156
angles: 90.00 90.00 154.34
Positions (direct):
1 Ac 0.000 0.000 0.000
2 Ac 0.339 0.661 0.258
3 Ac 0.339 0.661 0.742
4 Ac 0.661 0.339 0.258
5 Ac 0.661 0.339 0.742
6 Pr 0.000 0.000 0.500
7 Ni 0.208 0.792 0.500
8 Ni 0.500 0.500 0.253
9 Ni 0.500 0.500 0.747
10 Ni 0.792 0.208 0.500

=====

Entry 3:
Structure and simulated XRD peak list of Ca2Hg3Pd8 (a cell relaxed with GGA-PBE; copper Kα).
Lines closer than 0.1° are merged.

Most intense lines, 2θ = 5–70°, most intense first:
two_theta, I/Imax
30.36, 100.0
42.28, 72.7
36.88, 66.8
17.96, 60.2
41.11, 56.3
19.92, 44.9
13.82, 43.5
37.80, 40.9
39.42, 39.5
43.67, 39.1

abc: 7.794 7.794 5.660
angles: 104.69 104.69 56.13
Positions (direct):
1 Ca 0.156 0.156 0.217
2 Ca 0.844 0.844 0.783
3 Hg 0.217 0.783 0.500
4 Hg 0.500 0.500 0.000
5 Hg 0.783 0.217 0.500
6 Pd 0.163 0.521 0.091
7 Pd 0.187 0.187 0.721
8 Pd 0.358 0.358 0.558
9 Pd 0.479 0.837 0.909
10 Pd 0.521 0.163 0.091
11 Pd 0.642 0.642 0.442
12 Pd 0.813 0.813 0.279
13 Pd 0.837 0.479 0.909

=====

Entry 4:
Structure and simulated XRD peak list of GaAsC (a cell relaxed with GGA-PBE; copper Kα).
Lines closer than 0.1° are merged.

Most intense lines, 2θ = 5–70°, most intense first:
two_theta, I/Imax
26.99, 100.0
30.19, 80.9
31.79, 64.7
46.57, 53.4
25.13, 53.1
47.19, 43.9
26.18, 40.7
40.94, 37.1
42.18, 30.0
43.10, 28.2

abc: 5.929 6.608 5.638
angles: 90.00 93.19 90.00
Positions (direct):
1 Ga 0.229 0.000 0.298
2 Ga 0.271 0.500 0.702
3 Ga 0.729 0.500 0.298
4 Ga 0.771 0.000 0.702
5 As 0.190 0.879 0.717
6 As 0.310 0.379 0.283
7 As 0.690 0.379 0.717
8 As 0.810 0.879 0.283
9 C 0.112 0.423 0.993
10 C 0.388 0.923 0.007
11 C 0.612 0.923 0.993
12 C 0.888 0.423 0.007

=====

Entry 5:
Structure and simulated XRD peak list of Mn2Ga3Ni7 (a cell relaxed with GGA-PBE; copper Kα).
Lines closer than 0.1° are merged.

Most intense lines, 2θ = 5–70°, most intense first:
two_theta, I/Imax
44.82, 100.0
46.06, 25.1
48.13, 21.9
8.39, 16.2
39.33, 15.4
68.82, 13.9
61.57, 7.0
29.06, 5.7
25.02, 5.2
52.04, 4.5

abc: 3.941 3.781 10.724
angles: 90.00 100.53 90.00
Positions (direct):
1 Mn 0.155 0.000 0.309
2 Mn 0.845 0.000 0.691
3 Ga 0.000 0.000 0.000
4 Ga 0.350 0.500 0.699
5 Ga 0.650 0.500 0.301
6 Ni 0.076 0.500 0.152
7 Ni 0.279 0.000 0.558
8 Ni 0.423 0.000 0.848
9 Ni 0.500 0.500 0.000
10 Ni 0.577 0.000 0.152
11 Ni 0.721 0.000 0.442
12 Ni 0.924 0.500 0.848

=====

Entry 6:
Structure and simulated XRD peak list of TmPaCo2P2 (a cell relaxed with GGA-PBE; copper Kα).
Lines closer than 0.1° are merged.

Most intense lines, 2θ = 5–70°, most intense first:
two_theta, I/Imax
35.81, 100.0
26.63, 40.5
47.03, 32.9
60.48, 21.9
69.50, 18.1
55.78, 13.5
48.05, 9.1
23.49, 9.0
53.22, 7.1
54.86, 6.0

abc: 3.865 3.865 7.574
angles: 90.00 90.00 120.00
Positions (direct):
1 Tm 0.000 0.000 0.000
2 Pa 0.000 0.000 0.500
3 Co 0.333 0.667 0.278
4 Co 0.667 0.333 0.722
5 P 0.333 0.667 0.766
6 P 0.667 0.333 0.234

=====

Entry 7:
Structure and simulated XRD peak list of Nd6GaOs2 (a cell relaxed with GGA-PBE; copper Kα).
Lines closer than 0.1° are merged.

Most intense lines, 2θ = 5–70°, most intense first:
two_theta, I/Imax
34.04, 100.0
33.46, 66.6
30.91, 61.3
32.69, 59.0
12.80, 52.7
34.19, 41.1
38.70, 40.6
36.97, 35.7
37.72, 31.0
56.84, 28.6

abc: 8.703 8.703 8.703
angles: 112.05 111.16 105.28
Positions (direct):
1 Nd 0.045 0.243 0.801
2 Nd 0.181 0.274 0.455
3 Nd 0.181 0.726 0.907
4 Nd 0.330 0.017 0.687
5 Nd 0.330 0.643 0.313
6 Nd 0.442 0.243 0.199
7 Nd 0.558 0.757 0.801
8 Nd 0.670 0.357 0.687
9 Nd 0.670 0.983 0.313
10 Nd 0.819 0.274 0.093
11 Nd 0.819 0.726 0.545
12 Nd 0.955 0.757 0.199
13 Ga 0.000 0.000 0.000
14 Ga 0.500 0.500 0.000
15 Os 0.117 0.617 0.500
16 Os 0.325 0.000 0.325
17 Os 0.675 0.000 0.675
18 Os 0.883 0.383 0.500

=====

Entry 8:
Structure and simulated XRD peak list of La6CePmNd2 (a cell relaxed with GGA-PBE; copper Kα).
Lines closer than 0.1° are merged.

Most intense lines, 2θ = 5–70°, most intense first:
two_theta, I/Imax
29.81, 100.0
30.08, 88.6
30.50, 49.2
32.03, 46.7
32.37, 44.1
31.18, 38.3
26.81, 34.7
29.04, 34.6
31.03, 32.7
32.91, 30.5

abc: 6.782 6.782 9.114
angles: 103.04 103.04 63.32
Positions (direct):
1 La 0.084 0.555 0.201
2 La 0.123 0.123 0.412
3 La 0.445 0.916 0.799
4 La 0.555 0.084 0.201
5 La 0.877 0.877 0.588
6 La 0.916 0.445 0.799
7 Ce 0.000 0.000 0.000
8 Pm 0.500 0.500 0.500
9 Nd 0.411 0.411 0.835
10 Nd 0.589 0.589 0.165

=====

Entry 9:
Structure and simulated XRD peak list of La2SnAu3 (a cell relaxed with GGA-PBE; copper Kα).
Lines closer than 0.1° are merged.

Most intense lines, 2θ = 5–70°, most intense first:
two_theta, I/Imax
32.20, 100.0
36.79, 80.8
31.84, 47.0
37.75, 39.0
62.60, 34.9
50.19, 26.6
23.82, 24.7
44.30, 21.7
48.75, 19.0
63.25, 17.5

abc: 3.736 4.766 8.535
angles: 90.00 90.00 90.00
Positions (direct):
1 La 0.000 0.000 0.000
2 La 0.000 0.500 0.464
3 Sn 0.500 0.500 0.809
4 Au 0.500 0.000 0.317
5 Au 0.500 0.000 0.646
6 Au 0.500 0.500 0.142

=====

Entry 10:
Structure and simulated XRD peak list of CePr2P3Rh4 (a cell relaxed with GGA-PBE; copper Kα).
Lines closer than 0.1° are merged.

Most intense lines, 2θ = 5–70°, most intense first:
two_theta, I/Imax
34.93, 100.0
44.17, 42.0
32.66, 24.7
27.07, 24.1
39.29, 18.0
46.65, 15.1
64.24, 13.5
45.31, 12.2
56.00, 10.5
66.18, 10.4

abc: 4.101 4.101 11.062
angles: 90.00 90.00 90.00
Positions (direct):
1 Ce 0.000 0.000 0.000
2 Pr 0.000 0.500 0.720
3 Pr 0.500 0.000 0.280
4 P 0.000 0.500 0.374
5 P 0.500 0.000 0.626
6 P 0.500 0.500 0.000
7 Rh 0.000 0.000 0.500
8 Rh 0.000 0.500 0.159
9 Rh 0.500 0.000 0.841
10 Rh 0.500 0.500 0.500

=====

Entry 11:
Structure and simulated XRD peak list of Li5MnCl8 (a cell relaxed with GGA-PBE; copper Kα).
Lines closer than 0.1° are merged.

Most intense lines, 2θ = 5–70°, most intense first:
two_theta, I/Imax
29.23, 100.0
48.67, 53.7
33.88, 38.2
57.79, 32.9
16.75, 18.9
27.96, 16.6
23.78, 13.5
14.50, 13.0
44.48, 7.9
60.62, 7.0

abc: 7.484 7.484 7.484
angles: 60.00 60.00 60.00
Positions (direct):
1 Li 0.000 0.000 0.000
2 Li 0.073 0.642 0.642
3 Li 0.642 0.073 0.642
4 Li 0.642 0.642 0.073
5 Li 0.642 0.642 0.642
6 Mn 0.250 0.250 0.250
7 Cl 0.373 0.373 0.373
8 Cl 0.373 0.373 0.880
9 Cl 0.373 0.880 0.373
10 Cl 0.391 0.870 0.870
11 Cl 0.870 0.391 0.870
12 Cl 0.870 0.870 0.391
13 Cl 0.870 0.870 0.870
14 Cl 0.880 0.373 0.373

=====

Entry 12:
Structure and simulated XRD peak list of BaSnSeO (a cell relaxed with GGA-PBE; copper Kα).
Lines closer than 0.1° are merged.

Most intense lines, 2θ = 5–70°, most intense first:
two_theta, I/Imax
32.48, 100.0
20.97, 87.1
28.32, 80.5
24.79, 64.3
29.85, 61.3
33.99, 51.1
34.89, 38.7
50.67, 32.5
44.64, 29.1
45.37, 26.9

abc: 11.573 3.998 5.348
angles: 90.00 99.45 90.00
Positions (direct):
1 Ba 0.000 0.000 0.000
2 Ba 0.500 0.500 0.000
3 Sn 0.219 0.500 0.494
4 Sn 0.719 0.000 0.494
5 Se 0.389 0.000 0.456
6 Se 0.889 0.500 0.456
7 O 0.131 0.500 0.136
8 O 0.631 0.000 0.136

=====

Entry 13:
Structure and simulated XRD peak list of Cs2La2Cl7 (a cell relaxed with GGA-PBE; copper Kα).
Lines closer than 0.1° are merged.

Most intense lines, 2θ = 5–70°, most intense first:
two_theta, I/Imax
22.15, 100.0
33.96, 80.5
19.92, 80.2
40.45, 32.7
52.17, 25.4
33.41, 24.3
38.90, 20.3
44.02, 18.1
38.84, 17.5
37.61, 14.7

abc: 7.090 7.090 8.016
angles: 90.00 90.00 98.31
Positions (direct):
1 Cs 0.231 0.231 0.000
2 Cs 0.769 0.769 0.000
3 La 0.277 0.723 0.500
4 La 0.723 0.277 0.500
5 Cl 0.000 0.000 0.500
6 Cl 0.000 0.500 0.275
7 Cl 0.000 0.500 0.725
8 Cl 0.500 0.000 0.275
9 Cl 0.500 0.000 0.725
10 Cl 0.500 0.500 0.289
11 Cl 0.500 0.500 0.711